Record 1
Starting from a cell relaxed with PBE, the powder diffraction line list of CuAgP was calculated for copper Kα.
Lines closer than 0.1° are merged.

Structural model:
Cell: 3.0028 3.5270 8.8033 Å, 90.00 90.00 90.00°
Atoms (fractional coordinates):
Cu 0.0000 0.0000 0.0000
Cu 0.5000 0.5000 0.5000
Ag 0.0000 0.0000 0.6972
Ag 0.5000 0.5000 0.1972
P 0.0000 0.0000 0.4052
P 0.5000 0.5000 0.9052

Top 10 peaks for 2θ from 10° to 90°, in order of rising 2θ:
two_theta  I (rel.)
27.24  48
31.48  33
39.41  100
39.97  79
41.01  22
43.10  63
51.85  22
58.18  30
69.64  28
76.17  22

---

Record 2
Starting from a cell relaxed with PBE, the powder diffraction line list of Cu2AgPS4 was calculated for copper Kα.
Lines closer than 0.1° are merged.

Structural model:
Cell: 5.5297 5.5297 9.8785 Å, 90.00 90.00 90.00°
Atoms (fractional coordinates):
Cu 0.0000 0.5000 0.2500
Cu 0.0000 0.5000 0.7500
Cu 0.5000 0.0000 0.2500
Cu 0.5000 0.0000 0.7500
Ag 0.0000 0.0000 0.0000
Ag 0.5000 0.5000 0.5000
P 0.0000 0.0000 0.5000
P 0.5000 0.5000 0.0000
S 0.2143 0.2143 0.3723
S 0.2143 0.7857 0.6277
S 0.2857 0.2857 0.8723
S 0.2857 0.7143 0.1277
S 0.7143 0.2857 0.1277
S 0.7143 0.7143 0.8723
S 0.7857 0.2143 0.6277
S 0.7857 0.7857 0.3723

Top 10 peaks for 2θ from 10° to 90°, in order of rising 2θ:
two_theta  I (rel.)
18.39  10
29.13  100
32.38  10
37.49  12
46.45  20
49.49  35
55.77  27
61.07  11
80.05  9
88.42  10

---

Record 3
Starting from a cell relaxed with PBE, the powder diffraction line list of Cu3Ag3P2S8 was calculated for copper Kα.
Lines closer than 0.1° are merged.

Structural model:
Cell: 6.3155 6.4349 7.7475 Å, 89.61 89.67 89.62°
Atoms (fractional coordinates):
Cu 0.0000 0.0000 0.0000
Cu 0.0059 0.9803 0.4958
Cu 0.5135 0.6278 0.4969
Ag 0.5112 0.1465 0.2497
Ag 0.5188 0.6184 0.9906
Ag 0.9969 0.4371 0.7417
P 0.0050 0.4892 0.2516
P 0.4923 0.1156 0.7415
S 0.3310 0.5047 0.2641
S 0.3642 0.9885 0.9658
S 0.3713 0.9576 0.5269
S 0.4014 0.4252 0.7261
S 0.8247 0.0772 0.7456
S 0.8739 0.6427 0.4668
S 0.9106 0.1738 0.2507
S 0.9116 0.6438 0.0268

Top 10 peaks for 2θ from 10° to 90°, in order of rising 2θ:
two_theta  I (rel.)
26.78  46
26.95  47
27.73  47
28.26  91
30.22  49
30.49  100
46.91  37
48.37  27
48.66  29
51.53  37

---

Record 4
Starting from a cell relaxed with PBE, the powder diffraction line list of CuAg2PS4 was calculated for copper Kα.
Lines closer than 0.1° are merged.

Structural model:
Cell: 5.6669 5.6669 10.1945 Å, 90.00 90.00 90.00°
Atoms (fractional coordinates):
Cu 0.0000 0.0000 0.0000
Cu 0.5000 0.5000 0.5000
Ag 0.0000 0.0000 0.5000
Ag 0.0000 0.5000 0.7500
Ag 0.5000 0.0000 0.2500
Ag 0.5000 0.5000 0.0000
P 0.0000 0.5000 0.2500
P 0.5000 0.0000 0.7500
S 0.1931 0.2703 0.1310
S 0.2297 0.6931 0.3690
S 0.2703 0.8069 0.8690
S 0.3069 0.2297 0.6310
S 0.6931 0.7703 0.6310
S 0.7297 0.1931 0.8690
S 0.7703 0.3069 0.3690
S 0.8069 0.7297 0.1310

Top 10 peaks for 2θ from 10° to 90°, in order of rising 2θ:
two_theta  I (rel.)
17.91  10
28.33  100
31.58  14
36.53  13
45.26  19
48.01  34
54.26  28
59.05  11
77.40  10
85.60  9